[1]
Starting from a GGA-PBE-relaxed structure, the PXRD pattern of InAsPb2O6 was computed for Cu Kα X-rays.
No peak broadening, texture or thermal motion is included.

Largest 8 diffraction maxima, by intensity, 2θ from 5° to 70°:
- (1 1 0), 2θ = 31.51°, I 100
- (1 0 7), 2θ = 27.15°, I 75
- (0 2 7), 2θ = 42.06°, I 37
- (0 1 11), 2θ = 36.85°, I 27
- (2 2 0), 2θ = 65.75°, I 24
- (2 1 7), 2θ = 53.49°, I 23
- (0 0 6), 2θ = 17.22°, I 21
- (3 0 0), 2θ = 56.10°, I 20

Crystal structure
```
data_InAsPb2O6
_chemical_formula_sum 'In6 As6 Pb12 O36'
_cell_length_a 5.6792
_cell_length_b 5.6792
_cell_length_c 30.8929
_cell_angle_alpha 90.00
_cell_angle_beta 90.00
_cell_angle_gamma 120.00
_symmetry_space_group_name_H-M 'R -3 m'
_symmetry_Int_Tables_number 166
_symmetry_space_group_name_Hall '-R 3 2"'
loop_
_atom_site_label
_atom_site_type_symbol
_atom_site_fract_x
_atom_site_fract_y
_atom_site_fract_z
_atom_site_occupancy
In1 In 0.0000 0.0000 0.0896 1
As1 As 0.0000 0.0000 0.0000 1
As2 As 0.0000 0.0000 0.5000 1
Pb1 Pb 0.0000 0.0000 0.1972 1
Pb2 Pb 0.0000 0.0000 0.3547 1
O1 O 0.0108 0.5054 0.1997 1
O2 O 0.0276 0.5138 0.6304 1
```

=====

[2]
Starting from a GGA-PBE-relaxed structure, the PXRD pattern of Ho3Pt5 was computed for Cu Kα X-rays.
No peak broadening, texture or thermal motion is included.

Largest 8 diffraction maxima, by intensity, 2θ from 5° to 70°:
- (2 2 2), 2θ = 37.04°, I 100
- (2 2 3), 2θ = 42.73°, I 31
- (0 0 4), 2θ = 37.18°, I 28
- (4 0 0), 2θ = 39.42°, I 23
- (1 3 0), 2θ = 39.26°, I 19
- (4 0 4), 2θ = 55.30°, I 11
- (1 1 3), 2θ = 32.01°, I 10
- (2 2 1), 2θ = 33.25°, I 10

Crystal structure
```
data_Ho3Pt5
_chemical_formula_sum 'Ho12 Pt20'
_cell_length_a 9.1442
_cell_length_b 7.1116
_cell_length_c 9.6729
_cell_angle_alpha 90.00
_cell_angle_beta 90.00
_cell_angle_gamma 90.00
_symmetry_space_group_name_H-M 'C m c m'
_symmetry_Int_Tables_number 63
_symmetry_space_group_name_Hall '-C 2c 2'
loop_
_atom_site_label
_atom_site_type_symbol
_atom_site_fract_x
_atom_site_fract_y
_atom_site_fract_z
_atom_site_occupancy
Ho1 Ho 0.0000 0.1155 0.2500 1
Ho2 Ho 0.2035 0.5000 0.0000 1
Pt1 Pt 0.0000 0.1853 0.5466 1
Pt2 Pt 0.0000 0.4797 0.7500 1
Pt3 Pt 0.2268 0.2175 0.7500 1
```

=====

[3]
Starting from a GGA-PBE-relaxed structure, the PXRD pattern of Dy4Tl3Pd was computed for Cu Kα X-rays.
No peak broadening, texture or thermal motion is included.

Largest 8 diffraction maxima, by intensity, 2θ from 5° to 70°:
- (1 0 4), 2θ = 33.57°, I 100
- (1 1 0), 2θ = 35.14°, I 48
- (2 1 4), 2θ = 62.04°, I 35
- (2 0 0), 2θ = 50.54°, I 17
- (1 1 8), 2θ = 59.00°, I 15
- (0 0 8), 2θ = 45.79°, I 8
- (1 0 3), 2θ = 29.97°, I 7
- (1 1 7), 2θ = 54.12°, I 5

Crystal structure
```
data_Dy4Tl3Pd
_chemical_formula_sum 'Dy4 Tl3 Pd1'
_cell_length_a 3.6120
_cell_length_b 3.6120
_cell_length_c 15.8530
_cell_angle_alpha 90.00
_cell_angle_beta 90.00
_cell_angle_gamma 90.00
_symmetry_space_group_name_H-M 'P 4/m m m'
_symmetry_Int_Tables_number 123
_symmetry_space_group_name_Hall '-P 4 2'
loop_
_atom_site_label
_atom_site_type_symbol
_atom_site_fract_x
_atom_site_fract_y
_atom_site_fract_z
_atom_site_occupancy
Dy1 Dy 0.0000 0.0000 0.1058 1
Dy2 Dy 0.0000 0.0000 0.3683 1
Tl1 Tl 0.5000 0.5000 0.2391 1
Tl2 Tl 0.5000 0.5000 0.5000 1
Pd1 Pd 0.5000 0.5000 0.0000 1
```

=====

[4]
Starting from a GGA-PBE-relaxed structure, the PXRD pattern of PuNp2Se3 was computed for Cu Kα X-rays.
No peak broadening, texture or thermal motion is included.

Largest 6 diffraction maxima, by intensity, 2θ from 5° to 70°:
- (1 0 3), 2θ = 30.71°, I 100
- (2 0 0), 2θ = 43.99°, I 76
- (1 1 0), 2θ = 26.52°, I 45
- (2 2 0), 2θ = 54.60°, I 27
- (2 1 3), 2θ = 52.10°, I 23
- (2 0 6), 2θ = 63.96°, I 13

Crystal structure
```
data_PuNp2Se3
_chemical_formula_sum 'Pu2 Np4 Se6'
_cell_length_a 4.1181
_cell_length_b 5.8236
_cell_length_c 12.3456
_cell_angle_alpha 90.00
_cell_angle_beta 90.00
_cell_angle_gamma 90.00
_symmetry_space_group_name_H-M 'I m m m'
_symmetry_Int_Tables_number 71
_symmetry_space_group_name_Hall '-I 2 2'
loop_
_atom_site_label
_atom_site_type_symbol
_atom_site_fract_x
_atom_site_fract_y
_atom_site_fract_z
_atom_site_occupancy
Pu1 Pu 0.0000 0.0000 0.0000 1
Np1 Np 0.0000 0.0000 0.3338 1
Se1 Se 0.0000 0.5000 0.0000 1
Se2 Se 0.0000 0.5000 0.3321 1
```

=====

[5]
Starting from a GGA-PBE-relaxed structure, the PXRD pattern of PrHo7Tm3 was computed for Cu Kα X-rays.
No peak broadening, texture or thermal motion is included.

Largest 8 diffraction maxima, by intensity, 2θ from 5° to 70°:
- (2 0 1), 2θ = 31.23°, I 100
- (0 2 2), 2θ = 36.28°, I 67
- (0 0 3), 2θ = 31.43°, I 33
- (2 2 3), 2θ = 62.13°, I 28
- (2 2 0), 2θ = 52.11°, I 24
- (2 0 4), 2θ = 52.37°, I 24
- (0 4 1), 2θ = 62.02°, I 14
- (0 2 5), 2θ = 62.37°, I 14

Crystal structure
```
data_PrHo7Tm3
_chemical_formula_sum 'Pr1 Ho7 Tm3'
_cell_length_a 7.0203
_cell_length_b 7.0203
_cell_length_c 8.5389
_cell_angle_alpha 90.00
_cell_angle_beta 90.00
_cell_angle_gamma 120.00
_symmetry_space_group_name_H-M 'P 3 m 1'
_symmetry_Int_Tables_number 156
loop_
_symmetry_equiv_pos_as_xyz
'x,y,z'
'-y,x-y,z'
'-x+y,-x,z'
'-y,-x,z'
'-x+y,y,z'
'x,x-y,z'
loop_
_atom_site_label
_atom_site_type_symbol
_atom_site_fract_x
_atom_site_fract_y
_atom_site_fract_z
_atom_site_occupancy
Pr1 Pr 0.0000 0.0000 0.0000 1
Ho1 Ho 0.0029 0.5014 0.9961 1
Ho2 Ho 0.3309 0.1654 0.3309 1
Ho3 Ho 0.3333 0.6667 0.3272 1
Tm1 Tm 0.1675 0.3350 0.6609 1
```